This entry pairs a crystal structure of Co2BrO with its computed XRD peak list. Radiation: Cu Kα. Structure: a DFT-relaxed cell (PBE+U, Alexandria).
No peak broadening, texture or thermal motion is included.

Largest 8 diffraction maxima, by angle, 2θ = 15–90°:
2theta	I_rel
30.03	100
31.47	33
39.90	52
47.48	10
50.20	35
59.24	14
59.98	12
71.24	11

Atomic structure:
a = 5.1809 Å, b = 5.1809 Å, c = 10.2014 Å
α = 90.00°, β = 90.00°, γ = 90.00°
Space group I-42d (No. 122)
Inequivalent atoms, fractional coordinates:
Co: 0.1422 0.2500 0.1250
Br: 0.0000 0.0000 0.5000
O: 0.0000 0.0000 0.0000